Record 1
ZnCu2Mo2O8: computed X-ray diffraction stick pattern (Cu Ka), based on a structure optimized by DFT (PBE+U).
No peak broadening, texture or thermal motion is included.

Crystal structure
a = 6.597 Å, b = 8.710 Å, c = 12.633 Å
α = 90.00°, β = 91.73°, γ = 90.00°
Space group P2_1/c (No. 14)
Unique sites:
Zn1 0.108 0.165 0.053
Cu1 0.231 0.680 0.633
Cu2 0.378 0.054 0.619
Mo1 0.099 0.043 0.346
Mo2 0.389 0.582 0.369
O1 0.040 0.233 0.401
O2 0.084 0.103 0.613
O3 0.121 0.043 0.203
O4 0.179 0.576 0.465
O5 0.306 0.630 0.235
O6 0.341 0.513 0.900
O7 0.406 0.210 0.086
O8 0.495 0.104 0.864

Largest 6 diffraction maxima, sorted by position, 2θ from 15° to 90°:
2θ = 21.74°, d 4.089, I = 37, hkl 1 1 -2
2θ = 28.13°, d 3.172, I = 50, hkl 1 2 -2
2θ = 28.27°, d 3.157, I = 100, hkl 0 0 4
2θ = 29.63°, d 3.015, I = 55, hkl 2 1 -1
2θ = 30.04°, d 2.975, I = 94, hkl 2 1 1
2θ = 31.62°, d 2.830, I = 50, hkl 0 3 1

Record 2
NaPrCuWO6: computed X-ray diffraction stick pattern (Cu Ka), based on a structure optimized by DFT (PBE+U).
No peak broadening, texture or thermal motion is included.

Crystal structure
a = 5.369 Å, b = 5.369 Å, c = 8.572 Å
α = 90.00°, β = 90.00°, γ = 90.00°
Space group P-4n2 (No. 118)
Unique sites:
Na1 0.000 0.500 0.250
Pr1 0.000 0.500 0.750
Cu1 0.000 0.000 0.000
W1 0.000 0.000 0.500
O1 0.000 0.000 0.271
O2 0.184 0.311 0.506

Largest 6 diffraction maxima, sorted by position, 2θ from 15° to 90°:
2θ = 19.51°, d 4.550, I = 64, hkl 1 0 1
2θ = 31.48°, d 2.842, I = 100, hkl 1 1 2
2θ = 33.38°, d 2.685, I = 50, hkl 2 0 0
2θ = 47.92°, d 1.898, I = 25, hkl 2 2 0
2θ = 54.81°, d 1.675, I = 24, hkl 2 0 4
2θ = 58.47°, d 1.579, I = 41, hkl 3 1 2

Record 3
NaV4Cu3O12: computed X-ray diffraction stick pattern (Cu Ka), based on a structure optimized by DFT (PBE+U).
No peak broadening, texture or thermal motion is included.

Crystal structure
a = 7.340 Å, b = 7.340 Å, c = 7.340 Å
α = 90.00°, β = 90.00°, γ = 90.00°
Space group Im-3 (No. 204)
Unique sites:
Na1 0.000 0.000 0.000
V1 0.250 0.250 0.250
Cu1 0.000 0.000 0.500
O1 0.000 0.305 0.184

Largest 6 diffraction maxima, sorted by position, 2θ from 15° to 90°:
2θ = 17.08°, d 5.191, I = 10, hkl 1 1 0
2θ = 34.56°, d 2.595, I = 100, hkl 2 2 0
2θ = 49.68°, d 1.835, I = 30, hkl 4 0 0
2θ = 61.93°, d 1.498, I = 49, hkl 4 2 2
2θ = 72.90°, d 1.298, I = 13, hkl 4 4 0
2θ = 83.25°, d 1.161, I = 15, hkl 6 2 0